For KTbPtO4, a cell relaxed with PBE gives the calculated powder diffraction line list in this record (Cu Kα X-rays).
Lines closer than 0.1° are merged.

Largest 10 diffraction maxima, most intense first, 2θ = 5–70°:
d [Å], 2θ (°), I/Imax
5.688, 15.58, 100.0
2.858, 31.30, 77.9
5.398, 16.42, 51.9
2.844, 31.45, 50.6
2.430, 37.00, 47.3
1.684, 54.47, 43.4
2.986, 29.93, 40.9
2.699, 33.19, 39.2
1.429, 65.28, 28.3
1.896, 47.98, 28.0

Atomic structure:
```
KTbPtO4
1.0
-3.306 3.584 4.675
3.306 -3.584 4.675
3.306 3.584 -4.675
K Tb Pt O
2 2 2 8
direct
0.383 0.133 0.250
0.617 0.867 0.750
0.000 0.500 0.500
0.500 0.500 0.000
0.000 0.000 0.500
0.000 0.500 0.000
0.176 0.747 0.429
0.183 0.253 0.929
0.222 0.259 0.537
0.222 0.685 0.963
0.778 0.315 0.037
0.778 0.741 0.463
0.817 0.747 0.071
0.824 0.253 0.571
```

For K2ZnPtO4, a cell relaxed with PBE gives the calculated powder diffraction line list in this record (Cu Kα X-rays).
Lines closer than 0.1° are merged.

Largest 10 diffraction maxima, most intense first, 2θ = 5–70°:
d [Å], 2θ (°), I/Imax
5.557, 15.95, 100.0
4.705, 18.86, 60.9
2.854, 31.34, 53.8
5.271, 16.82, 40.2
2.745, 32.62, 32.5
1.833, 49.74, 28.8
3.443, 25.87, 24.9
2.197, 41.09, 23.0
2.371, 37.95, 20.3
1.822, 50.08, 16.9

Atomic structure:
```
K2ZnPtO4
1.0
0.000 6.887 9.409
2.993 0.000 9.409
2.993 6.887 0.000
K Zn Pt O
4 2 2 8
direct
0.053 0.053 0.697
0.303 0.303 0.947
0.697 0.697 0.053
0.947 0.947 0.303
0.375 0.375 0.375
0.625 0.625 0.625
0.125 0.125 0.125
0.875 0.875 0.875
0.018 0.728 0.542
0.213 0.542 0.728
0.272 0.982 0.787
0.458 0.787 0.982
0.542 0.213 0.018
0.728 0.018 0.213
0.787 0.458 0.272
0.982 0.272 0.458
```

For K3Pu2O7, a cell relaxed with PBE gives the calculated powder diffraction line list in this record (Cu Kα X-rays).
Lines closer than 0.1° are merged.

Largest 10 diffraction maxima, most intense first, 2θ = 5–70°:
d [Å], 2θ (°), I/Imax
3.070, 29.09, 100.0
4.211, 21.10, 88.3
3.034, 29.44, 55.7
10.988, 8.05, 41.2
1.758, 52.00, 41.0
5.494, 16.13, 40.4
2.145, 42.12, 31.5
1.911, 47.57, 22.1
1.780, 51.34, 21.1
1.535, 60.29, 18.4

Atomic structure:
```
K3Pu2O7
1.0
-2.145 2.145 10.988
2.145 -2.145 10.988
2.145 2.145 -10.988
K Pu O
3 2 7
direct
0.000 0.000 0.000
0.190 0.190 0.000
0.810 0.810 0.000
0.404 0.404 0.000
0.596 0.596 0.000
0.095 0.595 0.500
0.314 0.314 0.000
0.405 0.905 0.500
0.500 0.500 0.000
0.595 0.095 0.500
0.686 0.686 0.000
0.905 0.405 0.500
```

For KPu3O9, a cell relaxed with PBE gives the calculated powder diffraction line list in this record (Cu Kα X-rays).
Lines closer than 0.1° are merged.

Largest 10 diffraction maxima, most intense first, 2θ = 5–70°:
d [Å], 2θ (°), I/Imax
3.447, 25.84, 100.0
2.648, 33.85, 57.4
4.135, 21.49, 46.6
6.895, 12.84, 41.7
1.773, 51.54, 31.2
3.546, 25.11, 27.4
1.990, 45.58, 27.0
1.793, 50.92, 25.1
1.434, 65.04, 18.4
2.868, 31.19, 16.7

Atomic structure:
```
KPu3O9
1.0
7.962 0.000 0.000
-3.981 6.895 0.000
0.000 0.000 4.135
K Pu O
1 3 9
direct
0.000 0.000 0.000
0.000 0.500 0.500
0.500 0.000 0.500
0.500 0.500 0.500
0.000 0.500 0.000
0.205 0.410 0.500
0.205 0.795 0.500
0.410 0.205 0.500
0.500 0.000 0.000
0.500 0.500 0.000
0.590 0.795 0.500
0.795 0.205 0.500
0.795 0.590 0.500
```

For K3Pu4O12, a cell relaxed with PBE gives the calculated powder diffraction line list in this record (Cu Kα X-rays).
Lines closer than 0.1° are merged.

Largest 9 diffraction maxima, most intense first, 2θ = 5–70°:
d [Å], 2θ (°), I/Imax
2.999, 29.79, 100.0
4.241, 20.95, 92.6
1.897, 47.96, 44.0
1.731, 52.88, 42.1
2.121, 42.63, 30.2
1.414, 66.09, 21.5
1.500, 61.88, 19.3
2.449, 36.70, 15.1
5.998, 14.77, 1.3

Atomic structure:
```
K3Pu4O12
1.0
-4.241 4.241 4.241
4.241 -4.241 4.241
4.241 4.241 -4.241
K Pu O
3 4 12
direct
0.000 0.500 0.500
0.500 0.000 0.500
0.500 0.500 0.000
0.000 0.000 0.500
0.000 0.500 0.000
0.500 0.000 0.000
0.500 0.500 0.500
0.000 0.255 0.745
0.000 0.745 0.255
0.255 0.000 0.745
0.255 0.255 0.509
0.255 0.509 0.255
0.255 0.745 0.000
0.491 0.745 0.745
0.509 0.255 0.255
0.745 0.000 0.255
0.745 0.255 0.000
0.745 0.491 0.745
0.745 0.745 0.491
```

For KPu2O4, a cell relaxed with PBE gives the calculated powder diffraction line list in this record (Cu Kα X-rays).
Lines closer than 0.1° are merged.

Largest 10 diffraction maxima, most intense first, 2θ = 5–70°:
d [Å], 2θ (°), I/Imax
6.413, 13.81, 100.0
2.537, 35.38, 31.8
2.948, 30.32, 29.8
3.003, 29.75, 27.6
3.206, 27.82, 21.0
2.649, 33.84, 17.3
2.819, 31.74, 13.0
3.017, 29.61, 12.9
2.440, 36.83, 12.6
2.006, 45.19, 12.1

Atomic structure:
```
KPu2O4
1.0
6.054 0.000 0.000
0.000 3.548 0.000
-2.506 0.000 6.413
K Pu O
1 2 4
direct
0.000 0.000 0.000
0.000 0.500 0.500
0.500 0.000 0.500
0.228 0.000 0.660
0.259 0.500 0.328
0.741 0.500 0.672
0.772 0.000 0.340
```

For KRbPuO3, a cell relaxed with PBE gives the calculated powder diffraction line list in this record (Cu Kα X-rays).
Lines closer than 0.1° are merged.

Largest 10 diffraction maxima, most intense first, 2θ = 5–70°:
d [Å], 2θ (°), I/Imax
5.922, 14.96, 100.0
3.018, 29.60, 85.5
6.755, 13.11, 82.8
3.314, 26.90, 81.2
3.294, 27.07, 57.8
2.985, 29.94, 42.0
2.448, 36.71, 33.5
2.251, 40.06, 33.2
1.974, 45.97, 24.6
1.836, 49.66, 20.4

Atomic structure:
```
KRbPuO3
1.0
3.352 -6.755 0.000
3.352 6.755 0.000
-1.121 0.000 5.970
K Rb Pu O
2 2 2 6
direct
0.226 0.774 0.750
0.774 0.226 0.250
0.413 0.587 0.250
0.587 0.413 0.750
0.059 0.941 0.250
0.941 0.059 0.750
0.141 0.227 0.486
0.212 0.788 0.250
0.227 0.141 0.986
0.773 0.859 0.014
0.788 0.212 0.750
0.859 0.773 0.514
```

For K2RbPu2O7, a cell relaxed with PBE gives the calculated powder diffraction line list in this record (Cu Kα X-rays).
Lines closer than 0.1° are merged.

Largest 10 diffraction maxima, most intense first, 2θ = 5–70°:
d [Å], 2θ (°), I/Imax
3.081, 28.98, 100.0
4.230, 21.00, 55.7
3.048, 29.30, 55.1
11.016, 8.03, 52.6
1.766, 51.76, 41.3
2.155, 41.92, 30.5
5.508, 16.09, 27.2
1.786, 51.16, 21.4
1.541, 60.05, 18.5
2.203, 40.96, 14.8

Atomic structure:
```
K2RbPu2O7
1.0
-2.155 2.155 11.016
2.155 -2.155 11.016
2.155 2.155 -11.016
K Rb Pu O
2 1 2 7
direct
0.190 0.190 0.000
0.810 0.810 0.000
0.000 0.000 0.000
0.403 0.403 0.000
0.597 0.597 0.000
0.097 0.597 0.500
0.314 0.314 0.000
0.403 0.903 0.500
0.500 0.500 0.000
0.597 0.097 0.500
0.686 0.686 0.000
0.903 0.403 0.500
```

For K2PuSeO2, a cell relaxed with PBE gives the calculated powder diffraction line list in this record (Cu Kα X-rays).
Lines closer than 0.1° are merged.

Largest 10 diffraction maxima, most intense first, 2θ = 5–70°:
d [Å], 2θ (°), I/Imax
2.588, 34.66, 100.0
3.112, 28.69, 70.1
4.401, 20.18, 64.8
1.676, 54.76, 53.2
6.399, 13.84, 44.1
3.626, 24.55, 42.6
2.200, 41.02, 37.2
3.199, 27.89, 20.8
2.231, 40.44, 18.4
1.813, 50.33, 16.9

Atomic structure:
```
K2PuSeO2
1.0
4.401 0.000 0.000
0.000 4.401 0.000
0.000 0.000 6.399
K Pu Se O
2 1 1 2
direct
0.000 0.000 0.225
0.000 0.000 0.775
0.500 0.500 0.500
0.500 0.500 0.000
0.000 0.500 0.500
0.500 0.000 0.500
```

For KPuSeO5, a cell relaxed with PBE gives the calculated powder diffraction line list in this record (Cu Kα X-rays).
Lines closer than 0.1° are merged.

Largest 10 diffraction maxima, most intense first, 2θ = 5–70°:
d [Å], 2θ (°), I/Imax
5.741, 15.43, 100.0
3.141, 28.41, 97.3
3.176, 28.10, 62.0
3.395, 26.25, 50.3
3.415, 26.09, 43.6
5.299, 16.73, 26.5
2.241, 40.24, 19.9
2.024, 44.77, 18.1
1.914, 47.51, 17.3
2.421, 37.14, 17.2

Atomic structure:
```
KPuSeO5
1.0
3.431 -5.299 0.000
3.431 5.299 0.000
-0.768 0.000 7.935
K Pu Se O
2 2 2 10
direct
0.155 0.845 0.750
0.845 0.155 0.250
0.500 0.500 0.000
0.500 0.500 0.500
0.199 0.801 0.250
0.801 0.199 0.750
0.197 0.280 0.003
0.202 0.611 0.394
0.280 0.197 0.503
0.389 0.798 0.106
0.430 0.570 0.750
0.570 0.430 0.250
0.611 0.202 0.894
0.720 0.803 0.497
0.798 0.389 0.606
0.803 0.720 0.997
```

For K2PuTl2O6, a cell relaxed with PBE gives the calculated powder diffraction line list in this record (Cu Kα X-rays).
Lines closer than 0.1° are merged.

Largest 10 diffraction maxima, most intense first, 2θ = 5–70°:
d [Å], 2θ (°), I/Imax
6.017, 14.72, 100.0
3.008, 29.70, 66.8
2.589, 34.65, 45.1
3.128, 28.54, 36.9
3.285, 27.15, 30.7
2.820, 31.74, 28.3
3.500, 25.45, 24.5
1.972, 46.03, 17.5
2.397, 37.52, 15.4
1.848, 49.31, 15.3

Atomic structure:
```
K2PuTl2O6
1.0
3.555 -5.335 0.000
3.555 5.335 0.000
-2.489 0.000 6.017
K Pu Tl O
2 1 2 6
direct
0.187 0.813 0.000
0.813 0.187 0.000
0.000 0.000 0.500
0.342 0.658 0.500
0.658 0.342 0.500
0.044 0.318 0.688
0.149 0.149 0.302
0.318 0.044 0.688
0.682 0.956 0.312
0.851 0.851 0.698
0.956 0.682 0.312
```

For K4TmPu3O12, a cell relaxed with PBE gives the calculated powder diffraction line list in this record (Cu Kα X-rays).
Lines closer than 0.1° are merged.

Largest 10 diffraction maxima, most intense first, 2θ = 5–70°:
d [Å], 2θ (°), I/Imax
3.016, 29.62, 100.0
4.265, 20.83, 74.7
1.741, 52.55, 41.4
1.908, 47.67, 35.7
2.133, 42.38, 30.3
1.508, 61.49, 19.1
1.349, 69.72, 18.2
1.422, 65.67, 17.5
2.463, 36.49, 10.8
6.032, 14.69, 2.7

Atomic structure:
```
K4TmPu3O12
1.0
-4.265 4.265 4.265
4.265 -4.265 4.265
4.265 4.265 -4.265
K Tm Pu O
4 1 3 12
direct
0.000 0.000 0.500
0.000 0.500 0.000
0.500 0.000 0.000
0.500 0.500 0.500
0.000 0.000 0.000
0.000 0.500 0.500
0.500 0.000 0.500
0.500 0.500 0.000
0.000 0.263 0.263
0.000 0.737 0.737
0.250 0.500 0.750
0.250 0.750 0.500
0.263 0.000 0.263
0.263 0.263 0.000
0.500 0.250 0.750
0.500 0.750 0.250
0.737 0.000 0.737
0.737 0.737 0.000
0.750 0.250 0.500
0.750 0.500 0.250
```